For NdY2Cu, DFT lattice parameters and positions (GGA-PBE) gives the theoretical X-ray diffraction stick pattern in this record (Cu Kα X-rays).
Intensities are scaled so that the largest is 1000.

Main lines, in order of falling intensity (10 to 90 degrees two-theta):
| Position (°2θ) | I/Imax |
| --- | --- |
| 31.54 | 1000 |
| 30.16 | 492 |
| 30.66 | 298 |
| 56.21 | 193 |
| 34.48 | 192 |
| 55.07 | 175 |

Cell and atoms:
```
NdY2Cu
1.0
6.8890 0.0000 0.0000
0.0000 9.9639 0.0000
0.0000 0.0000 6.5622
Nd Y Cu
4 8 4
Cartesian
0.0686 2.4910 0.9016
3.3759 7.4729 4.1827
3.5131 2.4910 2.3795
6.8205 7.4729 5.6605
1.2539 0.5847 4.4581
1.2539 4.3973 4.4581
2.1906 5.5666 1.1770
2.1906 9.3792 1.1770
4.6984 0.5847 5.3851
4.6984 4.3973 5.3851
5.6351 5.5666 2.1040
5.6351 9.3792 2.1040
0.7350 7.4729 2.8428
2.7096 2.4910 6.1239
4.1795 7.4729 0.4383
6.1541 2.4910 3.7194
```

For Ba4YbCu3O9, DFT lattice parameters and positions (GGA-PBE) gives the theoretical X-ray diffraction stick pattern in this record (Cu Kα X-rays).
Intensities are scaled so that the largest is 1000.

Main lines, in order of falling intensity (10 to 90 degrees two-theta):
| Position (°2θ) | I/Imax |
| --- | --- |
| 31.04 | 1000 |
| 55.22 | 386 |
| 44.47 | 269 |
| 73.50 | 171 |
| 64.71 | 164 |
| 15.38 | 85 |

Cell and atoms:
```
Ba4YbCu3O9
1.0
8.1491 0.0000 0.0000
0.0000 8.1491 0.0000
0.0000 0.0000 8.1491
Ba Yb Cu O
8 2 6 18
Cartesian
2.0373 2.0373 2.0373
2.0373 2.0373 6.1118
2.0373 6.1118 2.0373
2.0373 6.1118 6.1118
6.1118 2.0373 2.0373
6.1118 2.0373 6.1118
6.1118 6.1118 2.0373
6.1118 6.1118 6.1118
0.0000 0.0000 0.0000
4.0745 4.0745 4.0745
0.0000 0.0000 4.0745
0.0000 4.0745 0.0000
0.0000 4.0745 4.0745
4.0745 0.0000 0.0000
4.0745 0.0000 4.0745
4.0745 4.0745 0.0000
0.0000 0.0000 2.2310
0.0000 0.0000 5.9181
0.0000 2.0373 4.0745
0.0000 2.2310 0.0000
0.0000 5.9181 0.0000
0.0000 6.1118 4.0745
1.8435 4.0745 4.0745
2.0373 4.0745 0.0000
2.2310 0.0000 0.0000
4.0745 0.0000 2.0373
4.0745 0.0000 6.1118
4.0745 1.8435 4.0745
4.0745 4.0745 1.8435
4.0745 4.0745 6.3055
4.0745 6.3055 4.0745
5.9181 0.0000 0.0000
6.1118 4.0745 0.0000
6.3055 4.0745 4.0745
```

For Tb7Nd3Tm, DFT lattice parameters and positions (GGA-PBE) gives the theoretical X-ray diffraction stick pattern in this record (Cu Kα X-rays).
Intensities are scaled so that the largest is 1000.

Main lines, in order of falling intensity (10 to 90 degrees two-theta):
| Position (°2θ) | I/Imax |
| --- | --- |
| 31.55 | 1000 |
| 32.21 | 676 |
| 32.62 | 527 |
| 31.91 | 468 |
| 31.10 | 224 |
| 57.27 | 189 |

Cell and atoms:
```
Tb7Nd3Tm
1.0
6.9737 0.0000 0.0000
0.0000 5.5577 0.0000
-3.2773 0.0000 9.4712
Tb Nd Tm
7 3 1
Cartesian
0.0000 0.0000 0.0000
0.0869 2.7789 2.7405
0.1662 2.7789 6.0193
0.2484 0.0000 7.8486
3.4480 0.0000 1.6226
3.5302 2.7789 3.4519
3.6096 2.7789 6.7307
-1.6386 0.0000 4.7356
-1.3123 2.7789 9.4307
5.0087 2.7789 0.0405
1.8482 0.0000 4.7356
```

For Zn6IrAu5, DFT lattice parameters and positions (GGA-PBE) gives the theoretical X-ray diffraction stick pattern in this record (Cu Kα X-rays).
Intensities are scaled so that the largest is 1000.

Main lines, in order of falling intensity (10 to 90 degrees two-theta):
| Position (°2θ) | I/Imax |
| --- | --- |
| 41.21 | 1000 |
| 41.41 | 992 |
| 38.67 | 604 |
| 38.48 | 592 |
| 27.16 | 331 |
| 26.87 | 325 |

Cell and atoms:
```
Zn6IrAu5
1.0
7.3718 -2.9163 0.0000
7.3718 2.9163 0.0000
-1.4253 0.0000 4.4339
Zn Ir Au
6 1 5
Cartesian
4.5532 1.5072 1.4584
7.3718 1.5572 0.0000
8.7651 1.5072 2.9754
4.5532 -1.5072 1.4584
7.3718 -1.5572 0.0000
8.7651 -1.5072 2.9754
-0.7127 0.0000 2.2169
2.3309 0.0000 0.8340
3.7479 0.0000 3.6571
6.6592 0.0000 2.2169
9.5704 0.0000 0.7767
10.9874 0.0000 3.5999
```

For PmAl2Zn5, DFT lattice parameters and positions (GGA-PBE) gives the theoretical X-ray diffraction stick pattern in this record (Cu Kα X-rays).
Intensities are scaled so that the largest is 1000.

Main lines, in order of falling intensity (10 to 90 degrees two-theta):
| Position (°2θ) | I/Imax |
| --- | --- |
| 34.72 | 1000 |
| 34.89 | 840 |
| 44.19 | 573 |
| 44.91 | 310 |
| 64.85 | 273 |
| 38.88 | 198 |

Cell and atoms:
```
PmAl2Zn5
1.0
-2.0181 3.5713 5.0033
2.0181 -3.5713 5.0033
2.0181 3.5713 -5.0033
Pm Al Zn
1 2 5
Cartesian
0.0000 0.0000 0.0000
2.0181 0.0000 2.4841
0.0000 3.5713 2.5192
2.0181 2.2539 -1.3396
2.0181 2.2539 1.3396
0.0000 3.5713 0.0000
0.0000 1.3174 3.6637
0.0000 1.3174 6.3429
```